Structure and computed X-ray powder pattern of Tl5Hg2Se2 (the GGA-PBE geometry in Alexandria; Cu Kα).

Peak list (8 most intense, 2θ from 5° to 70°, by angle)
d [Å], I/Imax
3.384, 24
3.281, 37
3.212, 25
2.988, 27
2.894, 100
2.775, 34
2.677, 38
2.650, 19

Cell: 10.3377 10.3377 6.6934 Å, 104.20 104.20 58.04°
Fractional positions:
Tl 0.0041 0.6788 0.6551
Tl 0.0079 0.9921 0.5000
Tl 0.1672 0.3460 0.1658
Tl 0.3234 0.6167 0.1897
Tl 0.3460 0.1672 0.6658
Tl 0.6035 0.7388 0.6022
Tl 0.6167 0.3234 0.6897
Tl 0.6788 0.0041 0.1551
Tl 0.7388 0.6035 0.1022
Tl 0.9921 0.0079 0.0000
Hg 0.3283 0.6843 0.7197
Hg 0.3875 0.9540 0.9801
Hg 0.6843 0.3283 0.2197
Hg 0.9540 0.3875 0.4801
Se 0.3027 0.9299 0.3393
Se 0.6957 0.9847 0.6545
Se 0.9299 0.3027 0.8393
Se 0.9847 0.6957 0.1545